Entry 1:
The following is a simulated powder diffractogram of Sr4Ca4TiMn7O24. It was derived from a structure optimized by DFT (PBE+U), using Cu Kα X-rays.

Atomic structure:
```
data_Sr4Ca4TiMn7O24
_cell_length_a 7.701
_cell_length_b 7.701
_cell_length_c 7.703
_cell_angle_alpha 90.02
_cell_angle_beta 90.02
_cell_angle_gamma 90.00
_symmetry_space_group_name_H-M 'P 1'
_symmetry_Int_Tables_number 1
_symmetry_space_group_name_Hall 'P 1'
loop_
_atom_site_label
_atom_site_fract_x
_atom_site_fract_y
_atom_site_fract_z
_atom_site_occupancy
Sr1 0.000 0.000 0.000 1
Sr2 0.000 0.503 0.000 1
Sr3 0.503 0.000 0.000 1
Sr4 0.504 0.504 0.496 1
Ca1 0.000 0.504 0.496 1
Ca2 0.504 0.000 0.496 1
Ca3 0.504 0.504 0.000 1
Ca4 0.999 0.999 0.496 1
Ti1 0.252 0.252 0.745 1
Mn1 0.252 0.252 0.248 1
Mn2 0.252 0.752 0.249 1
Mn3 0.252 0.752 0.747 1
Mn4 0.752 0.252 0.249 1
Mn5 0.752 0.252 0.747 1
Mn6 0.752 0.752 0.249 1
Mn7 0.752 0.752 0.747 1
O1 0.002 0.252 0.255 1
O2 0.002 0.752 0.255 1
O3 0.002 0.752 0.741 1
O4 0.249 0.755 0.498 1
O5 0.250 0.250 0.495 1
O6 0.252 0.002 0.255 1
O7 0.252 0.502 0.249 1
O8 0.252 0.504 0.747 1
O9 0.252 0.999 0.744 1
O10 0.253 0.253 0.001 1
O11 0.255 0.749 0.998 1
O12 0.502 0.252 0.249 1
O13 0.502 0.752 0.249 1
O14 0.502 0.752 0.747 1
O15 0.504 0.252 0.747 1
O16 0.749 0.255 0.998 1
O17 0.749 0.749 0.998 1
O18 0.752 0.002 0.255 1
O19 0.752 0.002 0.741 1
O20 0.752 0.502 0.249 1
O21 0.752 0.502 0.747 1
O22 0.755 0.249 0.498 1
O23 0.755 0.755 0.498 1
O24 0.999 0.252 0.744 1
```

Principal peaks in the range 2θ from 15° to 90°, by angle:
5.447 Å, intensity 4
2.723 Å, intensity 100
2.223 Å, intensity 12
1.926 Å, intensity 44
1.572 Å, intensity 36
1.362 Å, intensity 24
1.218 Å, intensity 15
1.112 Å, intensity 8

***

Entry 2:
The following is a simulated powder diffractogram of SrCaTiMnO6. It was derived from a structure optimized by DFT (PBE+U), using Cu Kα X-rays.

Atomic structure:
```
data_SrCaTiMnO6
_cell_length_a 5.497
_cell_length_b 5.470
_cell_length_c 7.693
_cell_angle_alpha 90.00
_cell_angle_beta 90.03
_cell_angle_gamma 90.00
_symmetry_space_group_name_H-M 'P 1'
_symmetry_Int_Tables_number 1
_symmetry_space_group_name_Hall 'P 1'
loop_
_atom_site_label
_atom_site_fract_x
_atom_site_fract_y
_atom_site_fract_z
_atom_site_occupancy
Sr1 0.000 0.000 0.000 1
Sr2 0.492 0.500 0.001 1
Ca1 0.503 0.500 0.509 1
Ca2 0.989 0.000 0.508 1
Ti1 0.493 0.000 0.260 1
Ti2 0.999 0.500 0.260 1
Mn1 0.494 0.000 0.751 1
Mn2 0.998 0.500 0.751 1
O1 0.066 0.500 0.506 1
O2 0.244 0.250 0.227 1
O3 0.244 0.750 0.227 1
O4 0.247 0.250 0.782 1
O5 0.247 0.750 0.782 1
O6 0.426 0.000 0.506 1
O7 0.547 0.000 0.996 1
O8 0.745 0.250 0.288 1
O9 0.745 0.750 0.288 1
O10 0.747 0.250 0.706 1
O11 0.747 0.750 0.706 1
O12 0.944 0.500 0.996 1
```

Principal peaks in the range 2θ from 15° to 90°, by angle:
2.749 Å, intensity 18
2.732 Å, intensity 100
1.939 Å, intensity 34
1.923 Å, intensity 15
1.583 Å, intensity 17
1.578 Å, intensity 18
1.574 Å, intensity 12
1.365 Å, intensity 16